1.
Calculated PXRD pattern
Compound: Pm4Tl2Cd5
Radiation: CuKα
Structure: a crystal structure in Alexandria, relaxed with GGA-PBE
Peak positions follow from Bragg's law for the DFT cell and can differ from measured ones.

Principal peaks in the range 10 to 80 degrees two-theta, low angle first:
d 2.973, 30.06 deg, rel. 32.4; d 2.842, 31.48 deg, rel. 67.3; d 2.737, 32.71 deg, rel. 67.1; d 2.690, 33.30 deg, rel. 59.0; d 2.659, 33.71 deg, rel. 69.7; d 2.550, 35.19 deg, rel. 76.0; d 2.504, 35.86 deg, rel. 100.0; d 2.458, 36.56 deg, rel. 37.1; d 1.811, 50.38 deg, rel. 32.7; d 1.729, 52.97 deg, rel. 37.8

Crystal structure
```
data_Pm4Tl2Cd5
_chemical_formula_sum 'Pm4 Tl2 Cd5'
_symmetry_space_group_name_H-M 'P 1 2/m 1'
_symmetry_Int_Tables_number 10
_cell_length_a 8.074
_cell_length_b 3.623
_cell_length_c 10.456
_cell_angle_alpha 90.00
_cell_angle_beta 95.76
_cell_angle_gamma 90.00
loop_
_symmetry_equiv_pos_as_xyz
'x,y,z'
'-x,-y,-z'
'-x,y,-z'
'x,-y,z'
loop_
_atom_site_label
_atom_site_type_symbol
_atom_site_fract_x
_atom_site_fract_y
_atom_site_fract_z
Pm1 Pm 0.170 0.000 0.391
Pm2 Pm 0.278 0.000 0.941
Tl1 Tl 0.066 0.500 0.140
Cd1 Cd 0.194 0.500 0.660
Cd2 Cd 0.448 0.500 0.208
Cd3 Cd 0.500 0.500 0.500
```

***

2.
Calculated PXRD pattern
Compound: Pm2Tl3Cd
Radiation: CuKα
Structure: a crystal structure in Alexandria, relaxed with GGA-PBE
Peak positions follow from Bragg's law for the DFT cell and can differ from measured ones.

Principal peaks in the range 10 to 80 degrees two-theta, low angle first:
d 3.701, 24.04 deg, rel. 13.4; d 2.836, 31.55 deg, rel. 100.0; d 2.554, 35.14 deg, rel. 58.4; d 2.536, 35.40 deg, rel. 29.2; d 2.102, 43.03 deg, rel. 11.4; d 1.902, 47.82 deg, rel. 10.8; d 1.892, 48.09 deg, rel. 20.2; d 1.851, 49.24 deg, rel. 11.5; d 1.499, 61.92 deg, rel. 22.8; d 1.495, 62.09 deg, rel. 11.5

Crystal structure
```
data_Pm2Tl3Cd
_chemical_formula_sum 'Pm2 Tl3 Cd1'
_symmetry_space_group_name_H-M 'P m m 2'
_symmetry_Int_Tables_number 25
_cell_length_a 3.701
_cell_length_b 5.071
_cell_length_c 8.869
_cell_angle_alpha 90.00
_cell_angle_beta 90.00
_cell_angle_gamma 90.00
loop_
_symmetry_equiv_pos_as_xyz
'x,y,z'
'-x,-y,z'
'-x,y,z'
'x,-y,z'
loop_
_atom_site_label
_atom_site_type_symbol
_atom_site_fract_x
_atom_site_fract_y
_atom_site_fract_z
Pm1 Pm 0.000 0.000 0.000
Pm2 Pm 0.000 0.500 0.493
Tl1 Tl 0.500 0.000 0.334
Tl2 Tl 0.500 0.000 0.673
Tl3 Tl 0.500 0.500 0.152
Cd1 Cd 0.500 0.500 0.825
```

***

3.
Calculated PXRD pattern
Compound: Pm5TlCd6
Radiation: CuKα
Structure: a crystal structure in Alexandria, relaxed with GGA-PBE
Peak positions follow from Bragg's law for the DFT cell and can differ from measured ones.

Principal peaks in the range 10 to 80 degrees two-theta, low angle first:
d 2.715, 32.99 deg, rel. 100.0; d 2.666, 33.62 deg, rel. 23.2; d 2.626, 34.15 deg, rel. 23.1; d 1.973, 46.01 deg, rel. 9.8; d 1.871, 48.68 deg, rel. 16.2; d 1.586, 58.18 deg, rel. 9.3; d 1.577, 58.52 deg, rel. 9.5; d 1.548, 59.73 deg, rel. 16.5; d 1.533, 60.40 deg, rel. 17.2; d 1.357, 69.21 deg, rel. 11.0

Crystal structure
```
data_Pm5TlCd6
_chemical_formula_sum 'Pm10 Tl2 Cd12'
_symmetry_space_group_name_H-M 'I m m m'
_symmetry_Int_Tables_number 71
_symmetry_space_group_name_Hall '-I 2 2'
_cell_length_a 5.252
_cell_length_b 7.891
_cell_length_c 15.993
_cell_angle_alpha 90.00
_cell_angle_beta 90.00
_cell_angle_gamma 90.00
loop_
_atom_site_label
_atom_site_type_symbol
_atom_site_fract_x
_atom_site_fract_y
_atom_site_fract_z
Pm1 Pm 0.000 0.000 0.000
Pm2 Pm 0.000 0.000 0.344
Pm3 Pm 0.000 0.500 0.328
Tl1 Tl 0.000 0.500 0.000
Cd1 Cd 0.000 0.249 0.166
Cd2 Cd 0.000 0.261 0.500
```

***

4.
Calculated PXRD pattern
Compound: Pm3TlCd3
Radiation: CuKα
Structure: a crystal structure in Alexandria, relaxed with GGA-PBE
Peak positions follow from Bragg's law for the DFT cell and can differ from measured ones.

Principal peaks in the range 10 to 80 degrees two-theta, low angle first:
d 2.838, 31.52 deg, rel. 100.0; d 2.781, 32.19 deg, rel. 48.8; d 2.610, 34.36 deg, rel. 80.5; d 2.486, 36.12 deg, rel. 40.2; d 2.273, 39.66 deg, rel. 16.8; d 1.854, 49.15 deg, rel. 29.8; d 1.825, 49.97 deg, rel. 18.1; d 1.495, 62.06 deg, rel. 42.9; d 1.471, 63.19 deg, rel. 15.5; d 1.458, 63.84 deg, rel. 13.4

Crystal structure
```
data_Pm3TlCd3
_chemical_formula_sum 'Pm6 Tl2 Cd6'
_symmetry_space_group_name_H-M 'I m m 2'
_symmetry_Int_Tables_number 44
_cell_length_a 3.651
_cell_length_b 4.973
_cell_length_c 21.460
_cell_angle_alpha 90.00
_cell_angle_beta 90.00
_cell_angle_gamma 90.00
loop_
_symmetry_equiv_pos_as_xyz
'x,y,z'
'-x,-y,z'
'-x,y,z'
'x,-y,z'
'x+1/2,y+1/2,z+1/2'
'-x+1/2,-y+1/2,z+1/2'
'-x+1/2,y+1/2,z+1/2'
'x+1/2,-y+1/2,z+1/2'
loop_
_atom_site_label
_atom_site_type_symbol
_atom_site_fract_x
_atom_site_fract_y
_atom_site_fract_z
Pm1 Pm 0.000 0.000 0.000
Pm2 Pm 0.000 0.000 0.399
Pm3 Pm 0.000 0.500 0.199
Tl1 Tl 0.000 0.500 0.766
Cd1 Cd 0.000 0.000 0.557
Cd2 Cd 0.000 0.000 0.845
Cd3 Cd 0.000 0.500 0.629
```

***

5.
Calculated PXRD pattern
Compound: Pm3Tl3Cd
Radiation: CuKα
Structure: a crystal structure in Alexandria, relaxed with GGA-PBE
Peak positions follow from Bragg's law for the DFT cell and can differ from measured ones.

Principal peaks in the range 10 to 80 degrees two-theta, low angle first:
d 3.073, 29.06 deg, rel. 46.4; d 3.031, 29.47 deg, rel. 21.9; d 3.001, 29.77 deg, rel. 100.0; d 2.937, 30.44 deg, rel. 54.1; d 2.638, 33.99 deg, rel. 45.3; d 2.510, 35.77 deg, rel. 99.1; d 2.430, 36.99 deg, rel. 19.6; d 2.395, 37.55 deg, rel. 73.1; d 1.856, 49.09 deg, rel. 27.0; d 1.587, 58.14 deg, rel. 18.3

Crystal structure
```
data_Pm3Tl3Cd
_chemical_formula_sum 'Pm12 Tl12 Cd4'
_symmetry_space_group_name_H-M 'C 1 2/m 1'
_symmetry_Int_Tables_number 12
_cell_length_a 11.770
_cell_length_b 4.790
_cell_length_c 15.402
_cell_angle_alpha 90.00
_cell_angle_beta 108.80
_cell_angle_gamma 90.00
loop_
_symmetry_equiv_pos_as_xyz
'x,y,z'
'-x,-y,-z'
'-x,y,-z'
'x,-y,z'
'x+1/2,y+1/2,z'
'-x+1/2,-y+1/2,-z'
'-x+1/2,y+1/2,-z'
'x+1/2,-y+1/2,z'
loop_
_atom_site_label
_atom_site_type_symbol
_atom_site_fract_x
_atom_site_fract_y
_atom_site_fract_z
Pm1 Pm 0.030 0.000 0.381
Pm2 Pm 0.100 0.000 0.922
Pm3 Pm 0.231 0.000 0.220
Tl1 Tl 0.010 0.500 0.229
Tl2 Tl 0.124 0.500 0.074
Tl3 Tl 0.134 0.500 0.547
Cd1 Cd 0.235 0.500 0.384
```

***

6.
Calculated PXRD pattern
Compound: Pm6Tl3Cd
Radiation: CuKα
Structure: a crystal structure in Alexandria, relaxed with GGA-PBE
Peak positions follow from Bragg's law for the DFT cell and can differ from measured ones.

Principal peaks in the range 10 to 80 degrees two-theta, low angle first:
d 2.834, 31.56 deg, rel. 21.0; d 2.753, 32.53 deg, rel. 100.0; d 2.725, 32.86 deg, rel. 28.3; d 2.515, 35.70 deg, rel. 9.1; d 1.965, 46.21 deg, rel. 14.7; d 1.929, 47.11 deg, rel. 8.4; d 1.620, 56.82 deg, rel. 8.8; d 1.579, 58.46 deg, rel. 18.9; d 1.575, 58.63 deg, rel. 8.8; d 1.222, 78.21 deg, rel. 5.4

Crystal structure
```
data_Pm6Tl3Cd
_chemical_formula_sum 'Pm12 Tl6 Cd2'
_symmetry_space_group_name_H-M 'P 1 21/m 1'
_symmetry_Int_Tables_number 11
_cell_length_a 9.585
_cell_length_b 5.450
_cell_length_c 11.969
_cell_angle_alpha 90.00
_cell_angle_beta 107.58
_cell_angle_gamma 90.00
loop_
_symmetry_equiv_pos_as_xyz
'x,y,z'
'-x,-y,-z'
'-x,y+1/2,-z'
'x,-y+1/2,z'
loop_
_atom_site_label
_atom_site_type_symbol
_atom_site_fract_x
_atom_site_fract_y
_atom_site_fract_z
Pm1 Pm 0.036 0.250 0.409
Pm2 Pm 0.162 0.750 0.180
Pm3 Pm 0.252 0.250 0.001
Pm4 Pm 0.349 0.750 0.807
Pm5 Pm 0.369 0.250 0.344
Pm6 Pm 0.410 0.250 0.620
Tl1 Tl 0.035 0.750 0.884
Tl2 Tl 0.130 0.250 0.716
Tl3 Tl 0.271 0.750 0.474
Cd1 Cd 0.458 0.750 0.097
```